Diffraction record for LiCr2N3. The powder diffractogram is theoretical, not measured: it uses a crystal structure in the Materials Project, relaxed with PBE and Cu Kα (λ = 1.5418 Å).
Intensities are scaled so that the largest is 100.

The 10 most intense peaks (2θ from 10° to 90°), in order of falling intensity:
two_theta	Rel. int.
18.4	100
25.6	93
36.9	81
32.2	62
35.7	62
36.8	44
64.9	44
57.2	35
32.0	30
69.2	26

Crystal structure
```
LiCr2N3
1.0
4.8110 -2.7946 0.0000
4.8110 2.7946 0.0000
0.0000 0.0000 5.0339
Li Cr N
2 4 6
Cartesian
4.8110 1.8945 2.5170
4.8110 -1.8945 0.0000
3.2126 0.9241 5.0147
3.2126 -0.9241 2.4977
6.4094 0.9241 5.0147
6.4094 -0.9241 2.4977
3.0097 0.8280 3.1403
4.8110 1.6310 0.3966
3.0097 -0.8280 0.6233
6.6123 0.8280 3.1403
4.8110 -1.6310 2.9136
6.6123 -0.8280 0.6233
```